Calculated powder diffractogram
Compound: SrFe5Bi4O15
Radiation: copper Kα
Structure: DFT lattice parameters and positions (PBE+U)
Peak positions follow from Bragg's law for the DFT cell and can differ from measured ones.

Principal peaks in the range 10 to 90 degrees two-theta, sorted by position:
21.6°, I = 80.5, hkl 0 1 -2; 22.6°, I = 72.2, hkl -1 1 1; 22.7°, I = 51.6, hkl 1 1 0; 31.1°, I = 100.0, hkl 1 -2 1; 31.4°, I = 99.6, hkl 1 0 2; 31.7°, I = 95.2, hkl 1 2 -2; 31.9°, I = 98.1, hkl 1 0 -3; 32.1°, I = 90.4, hkl 2 0 -1; 32.3°, I = 92.4, hkl 0 2 1; 57.5°, I = 53.3, hkl -1 2 4

Cell and atoms:
Lattice parameters (Å, degrees): 5.5733 6.9288 9.0222 107.17 106.64 91.06
Element x y z (fractional)
Sr1 0.0000 0.0000 0.0000
Fe1 0.0046 0.5191 0.0056
Fe2 0.1770 0.3358 0.3773
Fe3 0.3991 0.1119 0.8064
Fe4 0.5856 0.9158 0.1955
Fe5 0.7793 0.7388 0.5837
Bi1 0.2557 0.8164 0.4117
Bi2 0.4652 0.5794 0.7999
Bi3 0.6256 0.3802 0.2169
Bi4 0.8723 0.2288 0.6205
O1 0.0387 0.3843 0.1649
O2 0.0434 0.9707 0.7016
O3 0.2030 0.3567 0.8719
O4 0.2617 0.7468 0.1244
O5 0.2632 0.2735 0.5783
O6 0.3756 0.1528 0.2780
O7 0.4599 0.5463 0.4393
O8 0.5029 0.0468 0.0046
O9 0.5255 0.8935 0.6700
O10 0.6649 0.8747 0.4136
O11 0.6888 0.3201 0.8484
O12 0.7437 0.7094 0.0623
O13 0.8470 0.6202 0.7557
O14 0.8696 0.1501 0.3004
O15 0.9715 0.5619 0.4517